No. 1
The following is a calculated X-ray diffraction stick pattern of Na2BiBPO7. It was derived from a crystal structure in the Materials Project, relaxed with PBE, using copper Kα.

Largest 12 diffraction maxima, low angle first, 5° ≤ 2θ ≤ 70°:
2theta	intensity
9.32	100
15.64	51
18.36	26
20.54	43
22.58	17
24.28	25
25.23	30
25.38	31
31.38	22
34.53	26
36.09	18
39.43	19

Structure:
abc: 5.4775 7.0596 9.4992
angles: 90.00 92.52 90.00
Space group P2_1/m (No. 11)
Unique sites:
Na (0.2403, 0.0016, 0.2146) (multiplicity 4)
Bi (0.2134, 0.2500, 0.6309) (multiplicity 2)
B (0.2622, 0.2500, 0.9154) (multiplicity 2)
P (0.2740, 0.7500, 0.5931) (multiplicity 2)
O (0.0407, 0.2500, 0.8411) (multiplicity 2)
O (0.1538, 0.5750, 0.6613) (multiplicity 4)
O (0.2040, 0.7500, 0.4286) (multiplicity 2)
O (0.2962, 0.2500, 0.0586) (multiplicity 2)
O (0.4451, 0.2500, 0.3900) (multiplicity 2)
O (0.4706, 0.2500, 0.8370) (multiplicity 2)

No. 2
The following is a calculated X-ray diffraction stick pattern of ReN2. It was derived from a crystal structure in the Materials Project, relaxed with PBE, using copper Kα.

Largest 12 diffraction maxima, low angle first, 5° ≤ 2θ ≤ 70°:
2theta	intensity
9.77	28
19.61	100
36.26	22
36.40	32
36.62	22
39.53	13
40.74	13
42.35	17
43.73	33
44.68	27
58.38	14
59.77	14

Structure:
abc: 4.9596 2.8712 9.2921
angles: 90.00 102.95 90.00
Space group Cm (No. 8)
Unique sites:
Re (0.0000, 0.0000, 0.0000) (multiplicity 2)
Re (0.1839, 0.0000, 0.4378) (multiplicity 2)
N (0.0735, 0.5000, 0.5701) (multiplicity 2)
N (0.2783, 0.0000, 0.8677) (multiplicity 2)
N (0.3924, 0.0000, 0.1417) (multiplicity 2)
N (0.4572, 0.0000, 0.2961) (multiplicity 2)

No. 3
The following is a calculated X-ray diffraction stick pattern of TlAgTe. It was derived from a crystal structure in the Materials Project, relaxed with PBE, using copper Kα.

Largest 12 diffraction maxima, low angle first, 5° ≤ 2θ ≤ 70°:
2theta	intensity
29.40	100
30.09	24
30.35	80
32.59	41
34.86	14
36.37	40
38.07	31
46.72	17
47.90	14
49.63	26
58.63	27
60.55	17

Structure:
abc: 8.7660 4.9399 8.0762
angles: 90.00 90.00 90.00
Space group Pnma (No. 62)
Unique sites:
Tl (0.0122, 0.2500, 0.1825) (multiplicity 4)
Ag (0.1690, 0.7500, 0.4127) (multiplicity 4)
Te (0.1869, 0.2500, 0.5973) (multiplicity 4)

No. 4
The following is a calculated X-ray diffraction stick pattern of Mg2TaBiO6. It was derived from a crystal structure in the Materials Project, relaxed with PBE, using copper Kα.

Largest 12 diffraction maxima, low angle first, 5° ≤ 2θ ≤ 70°:
2theta	intensity
21.82	78
22.27	80
23.16	72
31.38	100
31.94	46
32.11	48
32.34	91
39.29	35
39.43	32
52.87	27
55.96	27
58.00	23

Structure:
abc: 5.5840 7.9842 5.6131
angles: 90.00 93.35 90.00
Space group P2_1/m (No. 11)
Unique sites:
Mg (0.0261, 0.2500, 0.0208) (multiplicity 2)
Mg (0.4704, 0.7500, 0.5178) (multiplicity 2)
Ta (0.0000, 0.0000, 0.5000) (multiplicity 2)
Bi (0.5000, 0.0000, 0.0000) (multiplicity 2)
O (0.0932, 0.7500, 0.6320) (multiplicity 2)
O (0.1351, 0.5730, 0.1956) (multiplicity 4)
O (0.3186, 0.0713, 0.6256) (multiplicity 4)
O (0.3749, 0.2500, 0.1479) (multiplicity 2)

No. 5
The following is a calculated X-ray diffraction stick pattern of CeSe2. It was derived from a crystal structure in the Materials Project, relaxed with PBE, using copper Kα.

Largest 12 diffraction maxima, low angle first, 5° ≤ 2θ ≤ 70°:
2theta	intensity
7.33	100
10.38	24
12.26	54
13.13	59
16.44	53
21.84	16
28.87	14
33.18	21
40.28	17
42.38	20
43.19	14
43.84	15

Structure:
abc: 17.0510 17.0510 14.4336
angles: 90.00 90.00 90.00
Space group I-4c2 (No. 120)
Unique sites:
Ce (0.1439, 0.1444, 0.0624) (multiplicity 16)
Se (0.9996, 0.1857, 0.0003) (multiplicity 16)
Se (0.1430, 0.1430, 0.2500) (multiplicity 8)
Se (0.2494, 0.2506, 0.0000) (multiplicity 8)

No. 6
The following is a calculated X-ray diffraction stick pattern of MnHgC4Se4N4. It was derived from a crystal structure in the Materials Project, relaxed with PBE, using copper Kα.

Largest 12 diffraction maxima, low angle first, 5° ≤ 2θ ≤ 70°:
2theta	intensity
10.80	81
15.29	38
19.69	19
25.03	100
29.46	41
32.79	17
33.36	31
34.62	22
36.89	23
43.20	21
44.53	36
46.09	16

Structure:
abc: 11.5861 11.5861 4.8940
angles: 90.00 90.00 90.00
Space group I-4 (No. 82)
Unique sites:
Mn (0.0000, 0.0000, 0.0000) (multiplicity 2)
Hg (0.0000, 0.5000, 0.2500) (multiplicity 2)
C (0.0746, 0.7807, 0.3583) (multiplicity 8)
Se (0.1179, 0.6574, 0.5595) (multiplicity 8)
N (0.0478, 0.8629, 0.2312) (multiplicity 8)